Li4Mo5O17: calculated powder diffraction line list (λ = 1.5418 Å (Cu Kα)), based on a PBE+U-relaxed structure.
Kinematic intensities with the Lorentz-polarization factor, no thermal factor.

Principal peaks in the range 2θ = 15–90°, sorted by position:
- 2θ = 15.51°, d = 5.712 Å, rel. 88, (1 -1 1)
- 2θ = 20.21°, d = 4.393 Å, rel. 71, (1 1 0)
- 2θ = 24.25°, d = 3.670 Å, rel. 100, (0 1 -3)
- 2θ = 27.88°, d = 3.200 Å, rel. 69, (2 0 0)
- 2θ = 28.82°, d = 3.098 Å, rel. 57, (-1 2 2)
- 2θ = 40.37°, d = 2.234 Å, rel. 69, (0 4 -2)

Crystal structure
abc: 6.925 9.638 11.097
angles: 105.32 91.76 111.04
Atoms (fractional coordinates):
Li 0.080 0.282 0.065
Li 0.206 0.404 0.816
Li 0.252 0.230 0.457
Li 0.305 0.053 0.142
Li 0.695 0.947 0.858
Li 0.748 0.770 0.543
Li 0.794 0.596 0.184
Li 0.920 0.718 0.935
Mo 0.212 0.059 0.837
Mo 0.230 0.710 0.703
Mo 0.243 0.880 0.476
Mo 0.280 0.541 0.352
Mo 0.310 0.694 0.112
Mo 0.690 0.306 0.888
Mo 0.720 0.459 0.648
Mo 0.757 0.120 0.524
Mo 0.770 0.290 0.297
Mo 0.788 0.941 0.163
O 0.020 0.159 0.561
O 0.046 0.677 0.087
O 0.049 0.996 0.225
O 0.096 0.515 0.708
O 0.141 0.351 0.367
O 0.169 0.828 0.848
O 0.205 0.119 0.003
O 0.219 0.665 0.512
O 0.258 0.918 0.657
O 0.266 0.500 0.175
O 0.295 0.753 0.323
O 0.346 0.247 0.809
O 0.349 0.598 0.963
O 0.380 0.071 0.465
O 0.449 0.904 0.126
O 0.459 0.414 0.598
O 0.494 0.749 0.739
O 0.506 0.251 0.261
O 0.541 0.586 0.402
O 0.551 0.096 0.874
O 0.620 0.929 0.535
O 0.651 0.402 0.037
O 0.654 0.753 0.191
O 0.705 0.247 0.677
O 0.734 0.500 0.825
O 0.742 0.082 0.343
O 0.781 0.335 0.488
O 0.795 0.881 0.997
O 0.831 0.172 0.152
O 0.859 0.649 0.633
O 0.904 0.485 0.292
O 0.951 0.004 0.775
O 0.954 0.323 0.913
O 0.980 0.841 0.439